# 1
CsTh: simulated X-ray powder pattern (a wavelength of 1.5418 Å), based on a DFT-relaxed cell (GGA-PBE, the Materials Project).

Cell and atoms:
Unit cell a=3.737 b=3.737 c=22.478 alpha=90.00 beta=90.00 gamma=120.00
Positions (direct):
1 Cs 0.000 0.000 0.000
2 Cs 0.333 0.667 0.667
3 Cs 0.667 0.333 0.333
4 Th 0.000 0.000 0.500
5 Th 0.333 0.667 0.167
6 Th 0.667 0.333 0.833

Most intense lines, 10° ≤ 2θ ≤ 80°, by intensity:
| Position (°2θ) | intensity |
| --- | --- |
| 28.70 | 100.0 |
| 31.91 | 76.0 |
| 23.75 | 53.4 |
| 42.61 | 34.6 |
| 54.91 | 33.2 |
| 48.73 | 23.6 |
| 49.36 | 22.7 |
| 11.81 | 16.1 |

# 2
AgTe6Mo6: simulated X-ray powder pattern (a wavelength of 1.5418 Å), based on a DFT-relaxed cell (GGA-PBE, the Materials Project).

Cell and atoms:
Unit cell a=9.547 b=9.547 c=9.700 alpha=120.36 beta=120.36 gamma=27.97
Positions (direct):
1 Ag 0.000 0.000 0.000
2 Te 0.122 0.122 0.611
3 Te 0.178 0.178 0.247
4 Te 0.456 0.456 0.163
5 Te 0.544 0.544 0.837
6 Te 0.822 0.822 0.753
7 Te 0.878 0.878 0.389
8 Mo 0.154 0.154 0.930
9 Mo 0.286 0.286 0.888
10 Mo 0.311 0.311 0.185
11 Mo 0.689 0.689 0.815
12 Mo 0.714 0.714 0.112
13 Mo 0.846 0.846 0.070

Most intense lines, 10° ≤ 2θ ≤ 80°, by intensity:
| Position (°2θ) | intensity |
| --- | --- |
| 10.69 | 100.0 |
| 40.98 | 47.9 |
| 27.27 | 34.3 |
| 40.52 | 31.7 |
| 39.04 | 31.4 |
| 35.78 | 24.3 |
| 29.69 | 17.1 |
| 11.19 | 14.2 |